[1]
Cd3B4Pb3O12: simulated powder diffractogram (Cu Kα (λ = 1.5418 Å)), based on a PBE-relaxed structure.

Most intense lines, 2θ from 10° to 90°, by intensity:
2theta, Rel. int.
32.4, 100
23.8, 90
35.4, 71
17.5, 57
29.7, 57
52.1, 48
27.0, 34
33.1, 33
43.3, 31
48.7, 30

Structural model:
```
Cd3B4Pb3O12
1.0
10.147 0.000 0.000
-5.074 8.788 0.000
0.000 0.000 7.120
Cd B Pb O
6 8 6 24
direct
0.000 0.500 0.000
0.000 0.500 0.500
0.500 0.000 0.000
0.500 0.000 0.500
0.500 0.500 0.000
0.500 0.500 0.500
0.191 0.799 0.250
0.201 0.392 0.250
0.333 0.667 0.750
0.392 0.191 0.750
0.608 0.809 0.250
0.667 0.333 0.250
0.799 0.608 0.750
0.809 0.201 0.750
0.133 0.286 0.750
0.153 0.867 0.750
0.286 0.153 0.250
0.714 0.847 0.750
0.847 0.133 0.250
0.867 0.714 0.250
0.106 0.452 0.250
0.106 0.754 0.083
0.106 0.754 0.417
0.188 0.537 0.750
0.246 0.352 0.083
0.246 0.352 0.417
0.346 0.894 0.250
0.349 0.812 0.750
0.352 0.106 0.583
0.352 0.106 0.917
0.452 0.346 0.750
0.463 0.651 0.750
0.537 0.349 0.250
0.548 0.654 0.250
0.648 0.894 0.083
0.648 0.894 0.417
0.651 0.188 0.250
0.654 0.106 0.750
0.754 0.648 0.583
0.754 0.648 0.917
0.812 0.463 0.250
0.894 0.246 0.583
0.894 0.246 0.917
0.894 0.548 0.750
```

***

[2]
ZnCdB2O5: simulated powder diffractogram (Cu Kα (λ = 1.5418 Å)), based on a PBE-relaxed structure.

Most intense lines, 2θ from 10° to 90°, by intensity:
2theta, Rel. int.
32.8, 100
33.0, 98
29.2, 83
52.9, 73
29.7, 68
19.8, 62
16.8, 49
30.8, 46
34.1, 38
27.4, 37

Structural model:
```
ZnCdB2O5
1.0
3.478 0.000 0.000
0.000 6.503 0.000
0.000 0.000 17.949
Zn Cd B O
4 4 8 20
direct
0.016 0.100 0.208
0.484 0.900 0.708
0.516 0.400 0.792
0.984 0.600 0.292
0.121 0.518 0.974
0.379 0.482 0.474
0.621 0.982 0.026
0.879 0.018 0.526
0.016 0.645 0.615
0.151 0.699 0.144
0.349 0.301 0.644
0.484 0.355 0.115
0.516 0.855 0.385
0.651 0.801 0.856
0.849 0.199 0.356
0.984 0.145 0.885
0.019 0.339 0.851
0.022 0.797 0.207
0.108 0.116 0.956
0.129 0.780 0.074
0.206 0.499 0.658
0.294 0.501 0.158
0.371 0.220 0.574
0.392 0.884 0.456
0.478 0.203 0.707
0.481 0.661 0.351
0.519 0.161 0.149
0.522 0.703 0.793
0.608 0.384 0.044
0.629 0.720 0.926
0.706 0.001 0.342
0.794 0.999 0.842
0.871 0.280 0.426
0.892 0.616 0.544
0.978 0.297 0.293
0.981 0.839 0.649
```

***

[3]
Zn2CdB2O6: simulated powder diffractogram (Cu Kα (λ = 1.5418 Å)), based on a PBE-relaxed structure.

Most intense lines, 2θ from 10° to 90°, by intensity:
2theta, Rel. int.
29.6, 100
29.2, 53
30.7, 51
21.1, 48
30.3, 47
30.5, 47
36.8, 34
37.1, 32
42.8, 31
37.2, 29

Structural model:
```
Zn2CdB2O6
1.0
6.325 0.000 0.000
0.791 6.379 0.000
0.961 1.000 6.418
Zn Cd B O
4 2 4 12
direct
0.000 0.000 0.000
0.176 0.505 0.819
0.494 0.894 0.113
0.792 0.210 0.498
0.299 0.390 0.315
0.662 0.711 0.613
0.116 0.834 0.435
0.362 0.080 0.709
0.622 0.307 0.924
0.860 0.580 0.177
0.173 0.191 0.784
0.191 0.931 0.236
0.225 0.646 0.524
0.430 0.422 0.985
0.436 0.890 0.822
0.478 0.149 0.517
0.666 0.669 0.271
0.696 0.124 0.049
0.740 0.377 0.735
0.931 0.920 0.542
0.951 0.388 0.271
0.966 0.683 0.993
```

***

[4]
YCdB: simulated powder diffractogram (Cu Kα (λ = 1.5418 Å)), based on a PBE-relaxed structure.

Most intense lines, 2θ from 10° to 90°, by intensity:
2theta, Rel. int.
29.1, 100
41.6, 87
68.4, 33
76.0, 27
51.6, 26
60.4, 14
25.1, 3
49.3, 1
66.4, 1

Structural model:
```
YCdB
1.0
0.000 3.067 3.067
3.067 0.000 3.067
3.067 3.067 0.000
Y Cd B
1 1 1
direct
0.000 0.000 0.000
0.500 0.500 0.500
0.250 0.250 0.250
```

***

[5]
CeB4: simulated powder diffractogram (Cu Kα (λ = 1.5418 Å)), based on a PBE-relaxed structure.

Most intense lines, 2θ from 10° to 90°, by intensity:
2theta, Rel. int.
35.6, 100
27.8, 74
33.3, 65
21.8, 59
24.8, 45
57.6, 38
52.6, 33
71.3, 26
53.3, 25
42.0, 20

Structural model:
```
CeB4
1.0
7.174 0.000 0.000
0.000 7.174 0.000
0.000 0.000 4.075
Ce B
4 16
direct
0.187 0.313 0.000
0.313 0.813 0.000
0.687 0.187 0.000
0.813 0.687 0.000
0.000 0.000 0.202
0.000 0.000 0.798
0.039 0.824 0.500
0.088 0.588 0.500
0.176 0.039 0.500
0.324 0.539 0.500
0.412 0.088 0.500
0.461 0.324 0.500
0.500 0.500 0.202
0.500 0.500 0.798
0.539 0.676 0.500
0.588 0.912 0.500
0.676 0.461 0.500
0.824 0.961 0.500
0.912 0.412 0.500
0.961 0.176 0.500
```